This entry pairs a crystal structure of Ba6Fe3Si8C2Cl3O30 with its calculated XRD peak list. Radiation: Cu Kα (weighted mean of Kα1 and Kα2). Structure: DFT lattice parameters and positions (GGA+U).
Peak positions follow from Bragg's law for the DFT cell and can differ from measured ones.

Crystal structure
Unit cell a=10.869 b=10.869 c=7.245 alpha=90.00 beta=90.00 gamma=120.00
Element x y z (fractional)
Ba (0.023, 0.511, 0.000)
Ba (0.171, 0.342, 0.479)
Ba (0.171, 0.829, 0.479)
Ba (0.489, 0.511, 0.000)
Ba (0.489, 0.977, 0.000)
Ba (0.658, 0.829, 0.479)
Fe (0.564, 0.127, 0.498)
Fe (0.564, 0.436, 0.498)
Fe (0.873, 0.436, 0.498)
Si (0.000, 0.000, 0.218)
Si (0.000, 0.000, 0.782)
Si (0.337, 0.168, 0.226)
Si (0.337, 0.169, 0.770)
Si (0.831, 0.169, 0.770)
Si (0.831, 0.663, 0.770)
Si (0.832, 0.168, 0.226)
Si (0.832, 0.663, 0.226)
C (0.333, 0.667, 0.345)
C (0.333, 0.667, 0.746)
Cl (0.165, 0.330, 0.052)
Cl (0.165, 0.835, 0.052)
Cl (0.670, 0.835, 0.052)
O (0.000, 0.000, 0.000)
O (0.164, 0.082, 0.705)
O (0.165, 0.082, 0.297)
O (0.195, 0.598, 0.347)
O (0.265, 0.530, 0.750)
O (0.265, 0.735, 0.750)
O (0.345, 0.173, 0.998)
O (0.402, 0.598, 0.347)
O (0.402, 0.805, 0.347)
O (0.409, 0.079, 0.689)
O (0.409, 0.330, 0.689)
O (0.412, 0.083, 0.308)
O (0.412, 0.329, 0.308)
O (0.470, 0.735, 0.750)
O (0.667, 0.333, 0.501)
O (0.667, 0.333, 0.994)
O (0.670, 0.079, 0.689)
O (0.670, 0.591, 0.689)
O (0.671, 0.083, 0.308)
O (0.671, 0.588, 0.308)
O (0.827, 0.173, 0.998)
O (0.827, 0.655, 0.998)
O (0.917, 0.329, 0.308)
O (0.917, 0.588, 0.308)
O (0.918, 0.082, 0.297)
O (0.918, 0.082, 0.705)
O (0.918, 0.835, 0.297)
O (0.918, 0.836, 0.705)
O (0.921, 0.330, 0.689)
O (0.921, 0.591, 0.689)

Peak list (10 most intense, 2θ = 15–90°, low angle first)
22.53 deg, d = 3.947 Å, rel. 100, hkl 0 2 1
27.94 deg, d = 3.194 Å, rel. 38, hkl 2 1 1
31.14 deg, d = 2.872 Å, rel. 99, hkl 2 0 2
32.96 deg, d = 2.717 Å, rel. 81, hkl 2 2 0
40.30 deg, d = 2.238 Å, rel. 40, hkl 4 0 1
41.54 deg, d = 2.174 Å, rel. 43, hkl 2 2 2
42.05 deg, d = 2.149 Å, rel. 30, hkl 0 2 3
53.00 deg, d = 1.728 Å, rel. 28, hkl 2 4 1
57.74 deg, d = 1.597 Å, rel. 23, hkl 4 2 2
61.53 deg, d = 1.507 Å, rel. 24, hkl 2 2 4